Simulated powder diffraction line list
Compound: Sr4LiMn2Ga2O11
Radiation: a wavelength of 1.5418 Å
Structure: a crystal structure in Alexandria, relaxed with PBE+U
Lines closer than 0.1° are merged.

Most intense lines, 2θ = 10–90°, sorted by position:
h k l	2θ/deg	d [Å]	intensity
1 0 1	21.65	4.106	48
-1 1 2	29.42	3.036	70
1 -1 2	29.69	3.009	84
1 1 1	30.11	2.968	35
1 1 -3	30.29	2.951	100
0 2 -1	31.03	2.882	77
2 0 -1	31.15	2.871	58
2 -1 0	34.74	2.582	26
2 -2 0	43.61	2.075	28
1 3 -4	55.26	1.662	40

Structure:
a = 5.747 Å, b = 5.768 Å, c = 9.665 Å
α = 106.11°, β = 106.70°, γ = 92.26°
Space group P1 (No. 1)
One atom of each set of equivalent atoms:
Sr1 0.000 0.000 0.000 (multiplicity 1)
Sr2 0.139 0.197 0.432 (multiplicity 1)
Sr3 0.300 0.422 0.873 (multiplicity 1)
Sr4 0.700 0.801 0.499 (multiplicity 1)
Li1 0.550 0.718 0.178 (multiplicity 1)
Mn1 0.097 0.610 0.222 (multiplicity 1)
Mn2 0.579 0.205 0.236 (multiplicity 1)
Ga1 0.342 0.891 0.720 (multiplicity 1)
Ga2 0.683 0.398 0.675 (multiplicity 1)
O1 0.050 0.998 0.726 (multiplicity 1)
O2 0.327 0.903 0.266 (multiplicity 1)
O3 0.330 0.418 0.138 (multiplicity 1)
O4 0.393 0.576 0.644 (multiplicity 1)
O5 0.451 0.896 0.020 (multiplicity 1)
O6 0.485 0.104 0.643 (multiplicity 1)
O7 0.547 0.018 0.924 (multiplicity 1)
O8 0.740 0.354 0.490 (multiplicity 1)
O9 0.878 0.807 0.302 (multiplicity 1)
O10 0.897 0.540 0.863 (multiplicity 1)
O11 0.916 0.316 0.213 (multiplicity 1)

Simulated powder diffraction line list
Compound: Sr4LiMn2Ga2O11
Radiation: a wavelength of 1.5418 Å
Structure: a crystal structure in Alexandria, relaxed with PBE+U
Lines closer than 0.1° are merged.

Most intense lines, 2θ = 10–90°, sorted by position:
h k l	2θ/deg	d [Å]	intensity
2 0 2	30.99	2.886	100
0 4 2	31.94	2.802	76
2 4 0	32.70	2.738	81
2 4 2	39.31	2.292	22
0 0 4	43.21	2.094	36
4 0 0	45.54	1.992	22
0 8 0	48.27	1.885	22
2 4 4	55.23	1.663	37
4 4 2	56.71	1.623	33
2 8 2	58.47	1.578	23

Structure:
a = 7.967 Å, b = 15.082 Å, c = 8.374 Å
α = 90.00°, β = 90.00°, γ = 90.00°
Space group Fmm2 (No. 42)
One atom of each set of equivalent atoms:
Sr1 0.000 0.131 0.000 (multiplicity 8)
Sr2 0.000 0.145 0.491 (multiplicity 8)
Li1 0.000 0.000 0.340 (multiplicity 4)
Mn1 0.250 0.250 0.244 (multiplicity 8)
Ga1 0.205 0.000 0.719 (multiplicity 8)
O1 0.000 0.000 0.823 (multiplicity 4)
O2 0.000 0.229 0.751 (multiplicity 8)
O3 0.181 0.000 0.497 (multiplicity 8)
O4 0.195 0.116 0.242 (multiplicity 16)
O5 0.250 0.250 0.496 (multiplicity 8)